Li3V3B2O10: calculated X-ray diffraction stick pattern (Cu Kα X-rays), based on a PBE+U-relaxed structure.
Neutral-atom scattering factors, no anomalous dispersion.

The 10 most intense peaks (10 to 90 degrees two-theta), in order of rising 2θ:
- 11.9°, I = 65
- 14.8°, I = 40
- 17.5°, I = 100
- 18.8°, I = 37
- 29.4°, I = 35
- 29.7°, I = 68
- 35.5°, I = 78
- 42.3°, I = 69
- 44.3°, I = 26
- 44.4°, I = 28

Cell and atoms:
Lattice parameters (Å, degrees): 3.0100 9.4214 11.9942 90.00 90.38 90.00
Space group P2_1/c (No. 14)
Asymmetric unit:
Li: 0.0000 0.0000 0.0000 x2
Li: 0.0070 0.0096 0.7222 x4
V: 0.4633 0.7322 0.3852 x4
V: 0.5000 0.0000 0.5000 x2
B: 0.4953 0.2372 0.8617 x4
O: 0.0008 0.6195 0.3544 x4
O: 0.0096 0.1218 0.5700 x4
O: 0.4832 0.1573 0.9593 x4
O: 0.4881 0.6662 0.7400 x4
O: 0.4913 0.1160 0.3626 x4

=====

Na2Zn2MoO6: calculated X-ray diffraction stick pattern (Cu Kα X-rays), based on a PBE+U-relaxed structure.
Neutral-atom scattering factors, no anomalous dispersion.

The 10 most intense peaks (10 to 90 degrees two-theta), in order of rising 2θ:
- 15.8°, I = 100
- 31.8°, I = 15
- 33.9°, I = 51
- 37.6°, I = 49
- 47.2°, I = 72
- 60.6°, I = 16
- 60.7°, I = 20
- 63.2°, I = 13
- 76.8°, I = 12
- 80.3°, I = 13

Cell and atoms:
Lattice parameters (Å, degrees): 5.2818 5.2818 5.6263 90.00 90.00 120.00
Space group P-31m (No. 162)
Asymmetric unit:
Na: 0.3333 0.6667 0.0000 x2
Zn: 0.3333 0.6667 0.5000 x2
Mo: 0.0000 0.0000 0.5000 x1
O: 0.0000 0.3093 0.6966 x6